Record 1
# Tm7Sc
Calculated powder X-ray diffraction pattern, Cu Kα. Input: DFT lattice parameters and positions (GGA-PBE).
Intensities are scaled so that the largest is 100.

Structure:
```
data_Tm7Sc
_cell_length_a 6.919
_cell_length_b 6.919
_cell_length_c 6.919
_cell_angle_alpha 60.00
_cell_angle_beta 60.00
_cell_angle_gamma 60.00
_symmetry_space_group_name_H-M 'P 1'
_symmetry_Int_Tables_number 1
loop_
_symmetry_equiv_pos_as_xyz
'x,y,z'
loop_
_atom_site_label
_atom_site_type_symbol
_atom_site_fract_x
_atom_site_fract_y
_atom_site_fract_z
Tm1 Tm 0.000 0.000 0.000
Tm2 Tm 0.000 0.000 0.500
Tm3 Tm 0.000 0.500 0.000
Tm4 Tm 0.000 0.500 0.500
Tm5 Tm 0.500 0.000 0.000
Tm6 Tm 0.500 0.000 0.500
Tm7 Tm 0.500 0.500 0.000
Sc1 Sc 0.500 0.500 0.500
```

Top 8 peaks for 15° ≤ 2θ ≤ 90°, in order of rising 2θ:
2θ (°), d [Å], intensity
31.68, 2.825, 100
36.74, 2.446, 50
52.93, 1.730, 36
63.01, 1.475, 42
66.16, 1.412, 12
78.14, 1.223, 6
86.76, 1.122, 18
89.61, 1.094, 17

Record 2
# PrSc2IO8
Calculated powder X-ray diffraction pattern, Cu Kα. Input: DFT lattice parameters and positions (GGA-PBE).
Intensities are scaled so that the largest is 100.

Structure:
```
data_PrSc2IO8
_cell_length_a 4.889
_cell_length_b 4.889
_cell_length_c 6.790
_cell_angle_alpha 90.00
_cell_angle_beta 90.00
_cell_angle_gamma 91.80
_symmetry_space_group_name_H-M 'P 1'
_symmetry_Int_Tables_number 1
loop_
_symmetry_equiv_pos_as_xyz
'x,y,z'
loop_
_atom_site_label
_atom_site_type_symbol
_atom_site_fract_x
_atom_site_fract_y
_atom_site_fract_z
Pr1 Pr 0.000 0.000 0.000
Sc1 Sc 0.500 0.500 0.241
Sc2 Sc 0.500 0.500 0.759
I1 I 0.000 0.000 0.500
O1 O 0.194 0.194 0.296
O2 O 0.194 0.194 0.704
O3 O 0.271 0.729 0.500
O4 O 0.326 0.674 0.000
O5 O 0.674 0.326 0.000
O6 O 0.729 0.271 0.500
O7 O 0.806 0.806 0.296
O8 O 0.806 0.806 0.704
```

Top 8 peaks for 15° ≤ 2θ ≤ 90°, in order of rising 2θ:
2θ (°), d [Å], intensity
18.16, 4.886, 64
25.37, 3.511, 65
26.20, 3.401, 75
32.10, 2.788, 100
37.42, 2.403, 27
49.14, 1.854, 42
50.08, 1.821, 40
63.33, 1.468, 25

Record 3
# YAl8Ga6
Calculated powder X-ray diffraction pattern, Cu Kα. Input: DFT lattice parameters and positions (GGA-PBE).
Intensities are scaled so that the largest is 100.

Structure:
```
data_YAl8Ga6
_cell_length_a 8.114
_cell_length_b 8.114
_cell_length_c 8.114
_cell_angle_alpha 49.68
_cell_angle_beta 49.68
_cell_angle_gamma 49.68
_symmetry_space_group_name_H-M 'P 1'
_symmetry_Int_Tables_number 1
loop_
_symmetry_equiv_pos_as_xyz
'x,y,z'
loop_
_atom_site_label
_atom_site_type_symbol
_atom_site_fract_x
_atom_site_fract_y
_atom_site_fract_z
Y1 Y 0.000 0.000 0.000
Al1 Al 0.138 0.643 0.826
Al2 Al 0.174 0.862 0.357
Al3 Al 0.357 0.174 0.862
Al4 Al 0.363 0.363 0.363
Al5 Al 0.637 0.637 0.637
Al6 Al 0.643 0.826 0.138
Al7 Al 0.826 0.138 0.643
Al8 Al 0.862 0.357 0.174
Ga1 Ga 0.005 0.513 0.706
Ga2 Ga 0.294 0.995 0.487
Ga3 Ga 0.487 0.294 0.995
Ga4 Ga 0.513 0.706 0.005
Ga5 Ga 0.706 0.005 0.513
Ga6 Ga 0.995 0.487 0.294
```

Top 8 peaks for 15° ≤ 2θ ≤ 90°, in order of rising 2θ:
2θ (°), d [Å], intensity
25.10, 3.548, 25
29.06, 3.072, 100
36.56, 2.458, 72
37.06, 2.426, 50
40.66, 2.219, 81
41.34, 2.184, 44
45.92, 1.976, 43
46.75, 1.943, 49

Record 4
# Dy3AlZn2
Calculated powder X-ray diffraction pattern, Cu Kα. Input: DFT lattice parameters and positions (GGA-PBE).
Intensities are scaled so that the largest is 100.

Structure:
```
data_Dy3AlZn2
_cell_length_a 5.066
_cell_length_b 5.066
_cell_length_c 12.442
_cell_angle_alpha 90.00
_cell_angle_beta 90.00
_cell_angle_gamma 120.00
_symmetry_space_group_name_H-M 'P 1'
_symmetry_Int_Tables_number 1
loop_
_symmetry_equiv_pos_as_xyz
'x,y,z'
loop_
_atom_site_label
_atom_site_type_symbol
_atom_site_fract_x
_atom_site_fract_y
_atom_site_fract_z
Dy1 Dy 0.000 0.000 0.248
Dy2 Dy 0.000 0.000 0.752
Dy3 Dy 0.333 0.667 0.417
Dy4 Dy 0.333 0.667 0.919
Dy5 Dy 0.667 0.333 0.081
Dy6 Dy 0.667 0.333 0.583
Al1 Al 0.333 0.667 0.667
Al2 Al 0.667 0.333 0.333
Zn1 Zn 0.000 0.000 0.000
Zn2 Zn 0.000 0.000 0.500
Zn3 Zn 0.333 0.667 0.168
Zn4 Zn 0.667 0.333 0.832
```

Top 8 peaks for 15° ≤ 2θ ≤ 90°, in order of rising 2θ:
2θ (°), d [Å], intensity
24.83, 3.585, 28
35.41, 2.535, 100
50.94, 1.793, 18
57.48, 1.603, 12
63.46, 1.466, 9
63.60, 1.463, 27
85.62, 1.134, 8
85.74, 1.133, 8

Record 5
# Ba2CdCu
Calculated powder X-ray diffraction pattern, Cu Kα. Input: DFT lattice parameters and positions (GGA-PBE).
Intensities are scaled so that the largest is 100.

Structure:
```
data_Ba2CdCu
_cell_length_a 4.058
_cell_length_b 4.117
_cell_length_c 8.395
_cell_angle_alpha 90.00
_cell_angle_beta 90.00
_cell_angle_gamma 90.00
_symmetry_space_group_name_H-M 'P 1'
_symmetry_Int_Tables_number 1
loop_
_symmetry_equiv_pos_as_xyz
'x,y,z'
loop_
_atom_site_label
_atom_site_type_symbol
_atom_site_fract_x
_atom_site_fract_y
_atom_site_fract_z
Ba1 Ba 0.000 0.000 0.232
Ba2 Ba 0.000 0.000 0.768
Cd1 Cd 0.500 0.500 0.500
Cu1 Cu 0.500 0.500 0.000
```

Top 8 peaks for 15° ≤ 2θ ≤ 90°, in order of rising 2θ:
2θ (°), d [Å], intensity
30.41, 2.939, 100
30.64, 2.917, 98
30.94, 2.890, 98
43.99, 2.058, 18
44.66, 2.029, 18
54.00, 1.698, 35
54.56, 1.682, 37
55.00, 1.670, 36

Record 6
# Li4CuPd
Calculated powder X-ray diffraction pattern, Cu Kα. Input: DFT lattice parameters and positions (GGA-PBE).
Intensities are scaled so that the largest is 100.

Structure:
```
data_Li4CuPd
_cell_length_a 5.006
_cell_length_b 5.006
_cell_length_c 4.315
_cell_angle_alpha 114.70
_cell_angle_beta 114.70
_cell_angle_gamma 95.85
_symmetry_space_group_name_H-M 'P 1'
_symmetry_Int_Tables_number 1
loop_
_symmetry_equiv_pos_as_xyz
'x,y,z'
loop_
_atom_site_label
_atom_site_type_symbol
_atom_site_fract_x
_atom_site_fract_y
_atom_site_fract_z
Li1 Li 0.080 0.414 0.247
Li2 Li 0.414 0.080 0.247
Li3 Li 0.586 0.920 0.753
Li4 Li 0.920 0.586 0.753
Cu1 Cu 0.500 0.500 0.000
Pd1 Pd 0.000 0.000 0.500
```

Top 8 peaks for 15° ≤ 2θ ≤ 90°, in order of rising 2θ:
2θ (°), d [Å], intensity
23.88, 3.726, 100
34.19, 2.622, 12
41.67, 2.168, 19
41.88, 2.157, 10
42.06, 2.148, 20
42.18, 2.143, 18
42.57, 2.124, 18
48.82, 1.865, 9